The following is a calculated powder X-ray diffraction pattern of Ti4Re3Ni. It was derived from a crystal structure in Alexandria, relaxed with GGA-PBE, using CuKα.
Neutral-atom scattering factors, no anomalous dispersion.

Most intense lines, 10° ≤ 2θ ≤ 80°, in order of rising 2θ:
2θ (°), I_rel
28.61, 38
29.16, 17
40.90, 52
41.31, 100
51.02, 16
59.23, 17
60.46, 8
67.07, 7
74.76, 34
75.59, 15

Atomic structure:
```
Ti4Re3Ni
1.0
3.120 0.000 0.000
0.000 3.120 0.000
0.000 0.000 12.249
Ti Re Ni
4 3 1
direct
0.000 0.000 0.124
0.000 0.000 0.373
0.000 0.000 0.627
0.000 0.000 0.876
0.500 0.500 0.243
0.500 0.500 0.500
0.500 0.500 0.757
0.500 0.500 0.000
```


The following is a calculated powder X-ray diffraction pattern of V4ReNi2. It was derived from a crystal structure in Alexandria, relaxed with GGA-PBE, using CuKα.
Neutral-atom scattering factors, no anomalous dispersion.

Most intense lines, 10° ≤ 2θ ≤ 80°, in order of rising 2θ:
2θ (°), I_rel
14.92, 100
20.89, 36
27.70, 80
29.90, 29
39.58, 82
42.52, 29
42.94, 84
57.22, 27
59.81, 61
74.13, 16

Atomic structure:
```
V4ReNi2
1.0
-2.277 2.277 5.939
2.277 -2.277 5.939
2.277 2.277 -5.939
V Re Ni
4 1 2
direct
0.000 0.500 0.500
0.203 0.203 0.000
0.500 0.000 0.500
0.797 0.797 0.000
0.000 0.000 0.000
0.399 0.399 0.000
0.601 0.601 0.000
```


The following is a calculated powder X-ray diffraction pattern of VReNi6. It was derived from a crystal structure in Alexandria, relaxed with GGA-PBE, using CuKα.
Neutral-atom scattering factors, no anomalous dispersion.

Most intense lines, 10° ≤ 2θ ≤ 80°, in order of rising 2θ:
2θ (°), I_rel
18.73, 53
27.24, 42
31.12, 43
37.98, 25
43.50, 80
44.99, 45
47.36, 100
56.18, 18
58.43, 15
60.95, 23

Atomic structure:
```
VReNi6
1.0
3.274 1.890 2.874
-3.274 1.890 2.874
0.000 -3.781 2.874
V Re Ni
1 1 6
direct
0.000 0.000 0.000
0.500 0.500 0.500
0.033 0.665 0.665
0.335 0.335 0.967
0.335 0.967 0.335
0.665 0.033 0.665
0.665 0.665 0.033
0.967 0.335 0.335
```


The following is a calculated powder X-ray diffraction pattern of ZrVReNi. It was derived from a crystal structure in Alexandria, relaxed with GGA-PBE, using CuKα.
Neutral-atom scattering factors, no anomalous dispersion.

Most intense lines, 10° ≤ 2θ ≤ 80°, in order of rising 2θ:
2θ (°), I_rel
24.62, 25
28.50, 9
40.74, 100
48.18, 13
50.47, 3
58.98, 16
64.89, 6
66.79, 4
74.16, 33
79.51, 4

Atomic structure:
```
ZrVReNi
1.0
0.000 3.132 3.132
3.132 0.000 3.132
3.132 3.132 0.000
Zr V Re Ni
1 1 1 1
direct
0.000 0.000 0.000
0.500 0.500 0.500
0.750 0.750 0.750
0.250 0.250 0.250
```


The following is a calculated powder X-ray diffraction pattern of YRe2Ni. It was derived from a crystal structure in Alexandria, relaxed with GGA-PBE, using CuKα.
Neutral-atom scattering factors, no anomalous dispersion.

Most intense lines, 10° ≤ 2θ ≤ 80°, in order of rising 2θ:
2θ (°), I_rel
16.63, 97
33.63, 43
37.06, 52
37.63, 36
38.28, 100
39.83, 64
42.16, 56
43.34, 45
46.50, 37
55.00, 31

Atomic structure:
```
YRe2Ni
1.0
2.996 0.000 0.000
0.000 4.287 0.000
-1.034 0.000 5.331
Y Re Ni
1 2 1
direct
0.000 0.000 0.000
0.264 0.500 0.604
0.636 0.000 0.491
0.571 0.500 0.193
```


The following is a calculated powder X-ray diffraction pattern of Zn2ReNi. It was derived from a crystal structure in Alexandria, relaxed with GGA-PBE, using CuKα.
Neutral-atom scattering factors, no anomalous dispersion.

Most intense lines, 10° ≤ 2θ ≤ 80°, in order of rising 2θ:
2θ (°), I_rel
10.93, 39
21.95, 11
33.19, 10
37.00, 18
41.90, 100
44.15, 22
44.77, 19
56.66, 10
64.69, 12
79.67, 14

Atomic structure:
```
Zn2ReNi
1.0
1.625 -2.051 0.000
1.625 2.051 0.000
0.000 0.000 8.097
Zn Re Ni
2 1 1
direct
0.000 0.000 0.229
0.000 0.000 0.771
0.500 0.500 0.500
0.500 0.500 0.000
```


The following is a calculated powder X-ray diffraction pattern of ZnReNi. It was derived from a crystal structure in Alexandria, relaxed with GGA-PBE, using CuKα.
Neutral-atom scattering factors, no anomalous dispersion.

Most intense lines, 10° ≤ 2θ ≤ 80°, in order of rising 2θ:
2θ (°), I_rel
12.19, 50
24.56, 13
32.67, 25
40.68, 20
41.22, 22
41.94, 12
43.24, 100
43.30, 33
61.31, 14
79.39, 18

Atomic structure:
```
ZnReNi
1.0
2.622 0.000 0.000
0.000 4.179 0.000
-0.464 0.000 7.261
Zn Re Ni
2 2 2
direct
0.000 0.000 0.000
0.030 0.500 0.193
0.107 0.000 0.631
0.456 0.500 0.823
0.555 0.000 0.314
0.579 0.500 0.489
```


The following is a calculated powder X-ray diffraction pattern of Zn2ReNi9. It was derived from a crystal structure in Alexandria, relaxed with GGA-PBE, using CuKα.
Neutral-atom scattering factors, no anomalous dispersion.

Most intense lines, 10° ≤ 2θ ≤ 80°, in order of rising 2θ:
2θ (°), I_rel
16.50, 5
24.81, 7
26.16, 6
29.93, 5
35.38, 6
43.69, 100
50.85, 31
50.98, 16
74.77, 9
74.87, 18

Atomic structure:
```
Zn2ReNi9
1.0
3.591 0.000 0.000
0.000 3.591 0.000
0.000 0.000 10.748
Zn Re Ni
2 1 9
direct
0.000 0.000 0.163
0.000 0.000 0.837
0.000 0.000 0.500
0.000 0.500 0.000
0.000 0.500 0.336
0.000 0.500 0.664
0.500 0.000 0.000
0.500 0.000 0.336
0.500 0.000 0.664
0.500 0.500 0.166
0.500 0.500 0.500
0.500 0.500 0.834
```


Copy entry 5 word for word.
The following is a calculated powder X-ray diffraction pattern of YRe2Ni. It was derived from a crystal structure in Alexandria, relaxed with GGA-PBE, using CuKα.
Neutral-atom scattering factors, no anomalous dispersion.

Most intense lines, 10° ≤ 2θ ≤ 80°, in order of rising 2θ:
2θ (°), I_rel
16.63, 97
33.63, 43
37.06, 52
37.63, 36
38.28, 100
39.83, 64
42.16, 56
43.34, 45
46.50, 37
55.00, 31

Atomic structure:
```
YRe2Ni
1.0
2.996 0.000 0.000
0.000 4.287 0.000
-1.034 0.000 5.331
Y Re Ni
1 2 1
direct
0.000 0.000 0.000
0.264 0.500 0.604
0.636 0.000 0.491
0.571 0.500 0.193
```


What did the seventh record say?
The following is a calculated powder X-ray diffraction pattern of ZnReNi. It was derived from a crystal structure in Alexandria, relaxed with GGA-PBE, using CuKα.
Neutral-atom scattering factors, no anomalous dispersion.

Most intense lines, 10° ≤ 2θ ≤ 80°, in order of rising 2θ:
2θ (°), I_rel
12.19, 50
24.56, 13
32.67, 25
40.68, 20
41.22, 22
41.94, 12
43.24, 100
43.30, 33
61.31, 14
79.39, 18

Atomic structure:
```
ZnReNi
1.0
2.622 0.000 0.000
0.000 4.179 0.000
-0.464 0.000 7.261
Zn Re Ni
2 2 2
direct
0.000 0.000 0.000
0.030 0.500 0.193
0.107 0.000 0.631
0.456 0.500 0.823
0.555 0.000 0.314
0.579 0.500 0.489
```